This entry pairs a crystal structure of Ca2Zn6Au9 with its theoretical powder diffractogram. Radiation: Cu Kα (λ = 1.5418 Å). Structure: a crystal structure in Alexandria, relaxed with PBE.
Lines closer than 0.1° are merged.

Most intense lines, 10° ≤ 2θ ≤ 80°, by angle:
- d = 5.010 Å, I = 61
- d = 4.138 Å, I = 40
- d = 3.190 Å, I = 17
- d = 2.505 Å, I = 58
- d = 2.371 Å, I = 44
- d = 2.143 Å, I = 100
- d = 2.069 Å, I = 21
- d = 1.595 Å, I = 29
- d = 1.446 Å, I = 20
- d = 1.208 Å, I = 17

Atomic structure:
```
data_Ca2Zn6Au9
_space_group_name_H-M_alt 'P 6/m m m'
_space_group_IT_number 191
_space_group_name_Hall '-P 6 2'
_cell_length_a 5.7846
_cell_length_b 5.7846
_cell_length_c 12.4127
_cell_angle_alpha 90.00
_cell_angle_beta 90.00
_cell_angle_gamma 120.00
loop_
_atom_site_label
_atom_site_fract_x
_atom_site_fract_y
_atom_site_fract_z
_atom_site_occupancy
Ca1 0.0000 0.0000 0.1822 1
Zn1 0.3333 0.6667 0.1659 1
Zn2 0.3333 0.6667 0.5000 1
Au1 0.0000 0.5000 0.0000 1
Au2 0.0000 0.5000 0.3325 1
```